This entry pairs a crystal structure of CsPuMgSe3 with its calculated powder X-ray diffraction pattern. Radiation: λ = 1.5418 Å (Cu Kα). Structure: a structure optimized by DFT (GGA-PBE).
Kinematic intensities with the Lorentz-polarization factor, no thermal factor.

Cell lengths 9.6719, 4.3536, 10.5118 Å; angles 90.00, 110.02, 90.00 degrees
Space group P2_1/m (No. 11)
Asymmetric unit:
1 Cs 0.2159 0.2500 0.2375 (multiplicity 2)
2 Pu 0.3303 0.7500 0.8622 (multiplicity 2)
3 Mg 0.0869 0.2500 0.6110 (multiplicity 2)
4 Se 0.1248 0.2500 0.8623 (multiplicity 2)
5 Se 0.1943 0.7500 0.5444 (multiplicity 2)
6 Se 0.4770 0.7500 0.1493 (multiplicity 2)

Main lines, low angle first (2θ = 5–70°):
- 2θ = 8.95°, rel. 58, hkl 0 0 1
- 2θ = 10.74°, rel. 72, hkl 1 0 -1
- 2θ = 27.09°, rel. 32, hkl 0 0 3
- 2θ = 27.67°, rel. 100, hkl 2 1 -1
- 2θ = 28.39°, rel. 35, hkl 2 1 0
- 2θ = 37.41°, rel. 26, hkl 4 0 -1
- 2θ = 40.77°, rel. 26, hkl 2 1 -4
- 2θ = 45.21°, rel. 27, hkl 3 1 2


This entry pairs a crystal structure of Cs2RbMg2 with its calculated powder X-ray diffraction pattern. Radiation: λ = 1.5418 Å (Cu Kα). Structure: a structure optimized by DFT (GGA-PBE).
Kinematic intensities with the Lorentz-polarization factor, no thermal factor.

Cell lengths 11.8556, 11.8556, 4.4844 Å; angles 90.00, 90.00, 90.00 degrees
Space group P4/mbm (No. 127)
Asymmetric unit:
1 Cs 0.1376 0.3624 0.0000 (multiplicity 4)
2 Rb 0.0000 0.0000 0.0000 (multiplicity 2)
3 Mg 0.1568 0.6568 0.5000 (multiplicity 4)

Main lines, low angle first (2θ = 5–70°):
- 2θ = 16.72°, rel. 61, hkl 2 1 0
- 2θ = 19.80°, rel. 38, hkl 0 0 1
- 2θ = 23.73°, rel. 77, hkl 3 1 0
- 2θ = 26.02°, rel. 100, hkl 2 1 1
- 2θ = 31.09°, rel. 47, hkl 3 1 1
- 2θ = 33.81°, rel. 27, hkl 3 2 1
- 2θ = 45.92°, rel. 38, hkl 5 2 1
- 2θ = 47.23°, rel. 23, hkl 3 1 2


This entry pairs a crystal structure of CsRb2Mg with its calculated powder X-ray diffraction pattern. Radiation: λ = 1.5418 Å (Cu Kα). Structure: a structure optimized by DFT (GGA-PBE).
Kinematic intensities with the Lorentz-polarization factor, no thermal factor.

Cell lengths 7.3129, 7.3129, 17.9126 Å; angles 90.00, 90.00, 120.00 degrees
Space group R3m (No. 160, hexagonal axes)
Asymmetric unit:
1 Cs 0.0000 0.0000 0.0000 (multiplicity 3)
2 Rb 0.0000 0.0000 0.5005 (multiplicity 3)
3 Rb 0.0000 0.0000 0.7505 (multiplicity 3)
4 Mg 0.0000 0.0000 0.2503 (multiplicity 3)

Main lines, low angle first (2θ = 5–70°):
- 2θ = 14.84°, rel. 11, hkl 1 0 1
- 2θ = 17.15°, rel. 11, hkl 0 1 2
- 2θ = 24.34°, rel. 100, hkl 1 1 0
- 2θ = 34.70°, rel. 20, hkl 0 2 4
- 2θ = 42.84°, rel. 43, hkl 3 0 0
- 2θ = 49.88°, rel. 14, hkl 2 2 0
- 2θ = 56.26°, rel. 19, hkl 1 3 4
- 2θ = 67.81°, rel. 22, hkl 4 1 0


This entry pairs a crystal structure of CsMgS14 with its calculated powder X-ray diffraction pattern. Radiation: λ = 1.5418 Å (Cu Kα). Structure: a structure optimized by DFT (GGA-PBE).
Kinematic intensities with the Lorentz-polarization factor, no thermal factor.

Cell lengths 11.1920, 12.5920, 13.4100 Å; angles 90.00, 90.00, 90.00 degrees
Space group Imma (No. 74)
Asymmetric unit:
1 Cs 0.0000 0.2500 0.1569 (multiplicity 4)
2 Mg 0.0000 0.0000 0.5000 (multiplicity 4)
3 S 0.0853 0.2500 0.6696 (multiplicity 8)
4 S 0.0850 0.2500 0.8611 (multiplicity 8)
5 S 0.1565 0.0686 0.3748 (multiplicity 16)
6 S 0.1658 0.2500 0.4028 (multiplicity 8)
7 S 0.1911 0.0078 0.9229 (multiplicity 16)

Main lines, low angle first (2θ = 5–70°):
- 2θ = 19.34°, rel. 37, hkl 0 2 2
- 2θ = 21.24°, rel. 68, hkl 2 2 0
- 2θ = 26.28°, rel. 26, hkl 1 3 2
- 2θ = 26.59°, rel. 40, hkl 0 0 4
- 2θ = 28.31°, rel. 100, hkl 0 4 0
- 2θ = 28.63°, rel. 52, hkl 3 2 1
- 2θ = 31.23°, rel. 26, hkl 3 0 3
- 2θ = 39.27°, rel. 25, hkl 0 4 4


This entry pairs a crystal structure of Cs2Mg2Se2S with its calculated powder X-ray diffraction pattern. Radiation: λ = 1.5418 Å (Cu Kα). Structure: a structure optimized by DFT (GGA-PBE).
Kinematic intensities with the Lorentz-polarization factor, no thermal factor.

Cell lengths 14.1146, 4.3812, 8.8224 Å; angles 90.00, 121.78, 90.00 degrees
Space group C2/m (No. 12)
Asymmetric unit:
1 Cs 0.0651 0.0000 0.3393 (multiplicity 4)
2 Mg 0.1871 0.5000 0.0629 (multiplicity 4)
3 Se 0.1981 0.5000 0.7711 (multiplicity 4)
4 S 0.0000 0.5000 0.0000 (multiplicity 2)

Main lines, low angle first (2θ = 5–70°):
- 2θ = 25.52°, rel. 46, hkl 4 0 -1
- 2θ = 26.52°, rel. 100, hkl 1 1 1
- 2θ = 30.26°, rel. 20, hkl 3 1 0
- 2θ = 30.38°, rel. 58, hkl 3 1 -2
- 2θ = 30.65°, rel. 27, hkl 2 0 -3
- 2θ = 41.21°, rel. 22, hkl 0 2 0
- 2θ = 42.97°, rel. 18, hkl 5 1 0
- 2θ = 45.72°, rel. 29, hkl 6 0 -4


This entry pairs a crystal structure of Cs3MgU3S8 with its calculated powder X-ray diffraction pattern. Radiation: λ = 1.5418 Å (Cu Kα). Structure: a structure optimized by DFT (GGA-PBE).
Kinematic intensities with the Lorentz-polarization factor, no thermal factor.

Cell lengths 8.0312, 8.0312, 24.6043 Å; angles 90.00, 90.00, 120.00 degrees
Space group R-3m (No. 166, hexagonal axes)
Asymmetric unit:
1 Cs 0.0000 0.5000 0.0000 (multiplicity 9)
2 Mg 0.0000 0.0000 0.5000 (multiplicity 3)
3 U 0.0000 0.5000 0.5000 (multiplicity 9)
4 S 0.0000 0.0000 0.2273 (multiplicity 6)
5 S 0.0014 0.5007 0.2248 (multiplicity 18)

Main lines, low angle first (2θ = 5–70°):
- 2θ = 10.79°, rel. 37, hkl 0 0 3
- 2θ = 14.63°, rel. 32, hkl 0 1 2
- 2θ = 21.67°, rel. 35, hkl 0 0 6
- 2θ = 26.64°, rel. 51, hkl 2 0 2
- 2θ = 29.51°, rel. 100, hkl 0 2 4
- 2θ = 39.10°, rel. 38, hkl 2 0 8
- 2θ = 45.15°, rel. 54, hkl 2 2 0
- 2θ = 50.62°, rel. 23, hkl 2 2 6


This entry pairs a crystal structure of CsMgSb2 with its calculated powder X-ray diffraction pattern. Radiation: λ = 1.5418 Å (Cu Kα). Structure: a structure optimized by DFT (GGA-PBE).
Kinematic intensities with the Lorentz-polarization factor, no thermal factor.

Cell lengths 6.1391, 6.1391, 18.8554 Å; angles 90.00, 90.00, 90.00 degrees
Space group I4_1/amd (No. 141, origin choice 2)
Asymmetric unit:
1 Cs 0.0000 0.2500 0.3750 (multiplicity 4)
2 Mg 0.0000 0.2500 0.8750 (multiplicity 4)
3 Sb 0.0000 0.0000 0.0000 (multiplicity 8)

Main lines, low angle first (2θ = 5–70°):
- 2θ = 20.22°, rel. 100, hkl 1 0 3
- 2θ = 22.55°, rel. 50, hkl 1 1 2
- 2θ = 27.76°, rel. 46, hkl 1 0 5
- 2θ = 30.63°, rel. 55, hkl 2 0 2
- 2θ = 32.97°, rel. 58, hkl 2 1 1
- 2θ = 41.11°, rel. 25, hkl 2 0 6
- 2θ = 46.04°, rel. 47, hkl 2 2 4
- 2θ = 47.27°, rel. 21, hkl 2 1 7


This entry pairs a crystal structure of CsMg3Sb2 with its calculated powder X-ray diffraction pattern. Radiation: λ = 1.5418 Å (Cu Kα). Structure: a structure optimized by DFT (GGA-PBE).
Kinematic intensities with the Lorentz-polarization factor, no thermal factor.

Cell lengths 18.9257, 4.7163, 11.2927 Å; angles 90.00, 121.64, 90.00 degrees
Space group C2/m (No. 12)
Asymmetric unit:
1 Cs 0.1359 0.0000 0.0900 (multiplicity 4)
2 Mg 0.0294 0.0000 0.3742 (multiplicity 4)
3 Mg 0.0988 0.5000 0.7119 (multiplicity 4)
4 Mg 0.1854 0.5000 0.4879 (multiplicity 4)
5 Sb 0.0264 0.5000 0.2270 (multiplicity 4)
6 Sb 0.1604 0.0000 0.6662 (multiplicity 4)

Main lines, low angle first (2θ = 5–70°):
- 2θ = 20.00°, rel. 36, hkl 4 0 -2
- 2θ = 24.95°, rel. 100, hkl 1 1 -2
- 2θ = 25.13°, rel. 92, hkl 3 1 0
- 2θ = 25.55°, rel. 31, hkl 3 1 -2
- 2θ = 26.10°, rel. 61, hkl 2 0 2
- 2θ = 30.55°, rel. 49, hkl 5 1 -2
- 2θ = 31.76°, rel. 40, hkl 1 1 -3
- 2θ = 38.16°, rel. 39, hkl 0 2 0


This entry pairs a crystal structure of CsMg6Sb with its calculated powder X-ray diffraction pattern. Radiation: λ = 1.5418 Å (Cu Kα). Structure: a structure optimized by DFT (GGA-PBE).
Kinematic intensities with the Lorentz-polarization factor, no thermal factor.

Cell lengths 4.2926, 6.7660, 17.3182 Å; angles 90.00, 90.00, 90.00 degrees
Space group Amm2 (No. 38)
Asymmetric unit:
1 Cs 0.0000 0.0000 0.0000 (multiplicity 2)
2 Mg 0.0000 0.0000 0.5791 (multiplicity 2)
3 Mg 0.0000 0.2146 0.2999 (multiplicity 4)
4 Mg 0.5000 0.0000 0.4213 (multiplicity 2)
5 Mg 0.5000 0.2429 0.1700 (multiplicity 4)
6 Sb 0.5000 0.0000 0.8178 (multiplicity 2)

Main lines, low angle first (2θ = 5–70°):
- 2θ = 14.05°, rel. 98, hkl 0 1 1
- 2θ = 23.13°, rel. 50, hkl 1 0 2
- 2θ = 25.10°, rel. 28, hkl 1 1 1
- 2θ = 28.32°, rel. 23, hkl 0 2 2
- 2θ = 28.96°, rel. 49, hkl 0 1 5
- 2θ = 29.09°, rel. 100, hkl 1 1 3
- 2θ = 35.34°, rel. 71, hkl 1 2 2
- 2θ = 48.19°, rel. 32, hkl 0 3 5


This entry pairs a crystal structure of Cs2SrMgSb2 with its calculated powder X-ray diffraction pattern. Radiation: λ = 1.5418 Å (Cu Kα). Structure: a structure optimized by DFT (GGA-PBE).
Kinematic intensities with the Lorentz-polarization factor, no thermal factor.

Cell lengths 7.6870, 17.6039, 7.6681 Å; angles 90.00, 90.00, 90.00 degrees
Space group Ibam (No. 72)
Asymmetric unit:
1 Cs 0.2325 0.1792 0.0000 (multiplicity 8)
2 Sr 0.0000 0.5000 0.2500 (multiplicity 4)
3 Mg 0.0000 0.0000 0.2500 (multiplicity 4)
4 Sb 0.2205 0.0910 0.5000 (multiplicity 8)

Main lines, low angle first (2θ = 5–70°):
- 2θ = 23.17°, rel. 51, hkl 0 0 2
- 2θ = 25.31°, rel. 19, hkl 2 2 0
- 2θ = 26.06°, rel. 100, hkl 1 4 1
- 2θ = 30.91°, rel. 36, hkl 0 4 2
- 2θ = 33.00°, rel. 51, hkl 2 0 2
- 2θ = 42.53°, rel. 49, hkl 1 4 3
- 2θ = 44.42°, rel. 15, hkl 1 8 1
- 2θ = 47.63°, rel. 15, hkl 0 8 2


This entry pairs a crystal structure of Cs6MgSe4 with its calculated powder X-ray diffraction pattern. Radiation: λ = 1.5418 Å (Cu Kα). Structure: a structure optimized by DFT (GGA-PBE).
Kinematic intensities with the Lorentz-polarization factor, no thermal factor.

Cell lengths 11.1762, 11.1762, 8.8381 Å; angles 90.00, 90.00, 120.00 degrees
Space group P6_3mc (No. 186)
Asymmetric unit:
1 Cs 0.0625 0.5312 0.0000 (multiplicity 6)
2 Cs 0.1465 0.2930 0.3225 (multiplicity 6)
3 Mg 0.3333 0.6667 0.6096 (multiplicity 2)
4 Se 0.2015 0.4030 0.7052 (multiplicity 6)
5 Se 0.3333 0.6667 0.3070 (multiplicity 2)

Main lines, low angle first (2θ = 5–70°):
- 2θ = 26.37°, rel. 84, hkl 2 1 1
- 2θ = 27.33°, rel. 100, hkl 2 0 2
- 2θ = 29.47°, rel. 42, hkl 3 0 1
- 2θ = 31.75°, rel. 40, hkl 1 0 3
- 2θ = 32.03°, rel. 61, hkl 2 2 0
- 2θ = 48.12°, rel. 28, hkl 5 0 1
- 2θ = 51.54°, rel. 33, hkl 3 2 3
- 2θ = 58.98°, rel. 23, hkl 4 3 1


This entry pairs a crystal structure of Cs2MgSnSe4 with its calculated powder X-ray diffraction pattern. Radiation: λ = 1.5418 Å (Cu Kα). Structure: a structure optimized by DFT (GGA-PBE).
Kinematic intensities with the Lorentz-polarization factor, no thermal factor.

Cell lengths 6.4824, 14.9912, 26.0751 Å; angles 90.00, 90.00, 90.00 degrees
Space group Fddd (No. 70, origin choice 2)
Asymmetric unit:
1 Cs 0.1250 0.1250 0.3050 (multiplicity 16)
2 Mg 0.1250 0.1250 0.1250 (multiplicity 8)
3 Sn 0.1250 0.1250 0.6250 (multiplicity 8)
4 Se 0.1197 0.2770 0.8224 (multiplicity 32)

Main lines, low angle first (2θ = 5–70°):
- 2θ = 13.59°, rel. 22, hkl 0 0 4
- 2θ = 18.07°, rel. 22, hkl 1 1 3
- 2θ = 23.67°, rel. 37, hkl 0 2 6
- 2θ = 24.72°, rel. 100, hkl 1 3 3
- 2θ = 28.31°, rel. 35, hkl 1 3 5
- 2θ = 34.50°, rel. 40, hkl 2 0 6
- 2θ = 44.59°, rel. 21, hkl 2 0 10
- 2θ = 45.86°, rel. 24, hkl 2 6 0


This entry pairs a crystal structure of CsMgUSe4 with its calculated powder X-ray diffraction pattern. Radiation: λ = 1.5418 Å (Cu Kα). Structure: a structure optimized by DFT (GGA-PBE).
Kinematic intensities with the Lorentz-polarization factor, no thermal factor.

Cell lengths 7.0275, 7.2052, 9.2534 Å; angles 90.00, 96.61, 90.00 degrees
Space group P2_1/m (No. 11)
Asymmetric unit:
1 Cs 0.2012 0.2500 0.0593 (multiplicity 2)
2 Mg 0.3585 0.2500 0.6511 (multiplicity 2)
3 U 0.1720 0.7500 0.4542 (multiplicity 2)
4 Se 0.1004 0.5035 0.6851 (multiplicity 4)
5 Se 0.3206 0.7500 0.1911 (multiplicity 2)
6 Se 0.4723 0.2500 0.4017 (multiplicity 2)

Main lines, low angle first (2θ = 5–70°):
- 2θ = 9.62°, rel. 100, hkl 0 0 1
- 2θ = 19.45°, rel. 70, hkl 1 1 -1
- 2θ = 20.87°, rel. 49, hkl 1 1 1
- 2θ = 24.71°, rel. 40, hkl 0 2 0
- 2θ = 29.06°, rel. 49, hkl 1 2 -1
- 2θ = 31.03°, rel. 50, hkl 2 1 1
- 2θ = 31.55°, rel. 37, hkl 0 2 2
- 2θ = 32.98°, rel. 43, hkl 1 1 -3